(1)
The following is a calculated powder X-ray diffraction pattern of Ca2CoSi4NiO12. It was derived from a cell relaxed with GGA+U, using a wavelength of 1.5418 Å.

Largest 10 diffraction maxima, low angle first, 2θ = 5–70°:
2θ (°)  d (Å)  I (rel.)
13.53  6.546  32
29.47  3.031  100
29.86  2.992  40
34.58  2.594  38
35.17  2.552  43
35.29  2.543  46
41.80  2.161  26
55.77  1.648  17
55.95  1.643  18
64.74  1.440  19

Crystal structure
```
20
Lattice="4.952 -4.510 0.000 4.952 4.510 0.000 -1.475 0.000 5.104" Properties=species:S:1:pos:R:3 pbc="T T T"
Ca 0.000 0.000 0.000
Ca 4.214 -0.839 2.552
Co 4.214 2.684 2.552
Si 1.348 1.001 2.657
Si 1.398 -1.837 5.008
Si 7.081 1.001 2.447
Si 7.031 -1.837 0.096
Ni 4.952 1.007 0.000
O 3.645 2.627 0.524
O 0.747 -0.413 2.187
O 2.907 1.038 3.108
O 4.784 2.627 4.580
O 3.483 -0.425 0.365
O 5.522 1.038 1.996
O 2.361 -2.519 3.810
O 3.112 -2.832 1.263
O 4.946 -0.425 4.739
O 7.682 -0.413 2.917
O 6.068 -2.519 1.294
O 5.317 -2.832 3.841
```

***

(2)
The following is a calculated powder X-ray diffraction pattern of CaNpCoO6. It was derived from a cell relaxed with GGA+U, using a wavelength of 1.5418 Å.

Largest 10 diffraction maxima, low angle first, 2θ = 5–70°:
2θ (°)  d (Å)  I (rel.)
17.18  5.160  94
19.86  4.471  34
21.66  4.103  84
26.38  3.379  100
32.85  2.726  33
34.76  2.581  68
39.02  2.309  62
49.98  1.825  66
57.38  1.606  32
65.16  1.432  33

Crystal structure
```
18
Lattice="5.163 0.000 0.000 -2.581 4.471 0.000 0.000 0.000 10.320" Properties=species:S:1:pos:R:3 pbc="T T T"
Ca 0.000 0.000 0.000
Ca 0.000 0.000 5.160
Np 0.000 2.981 2.580
Np 2.581 1.490 7.740
Co 0.000 2.981 7.740
Co 2.581 1.490 2.580
O -0.877 1.647 6.651
O -1.594 2.888 8.830
O 0.877 1.647 8.830
O -0.716 4.407 6.651
O 1.865 0.063 1.491
O 0.987 1.583 3.670
O 1.594 2.888 6.651
O 0.716 4.407 8.830
O 3.298 0.063 3.670
O 1.704 2.824 1.491
O 4.175 1.583 1.491
O 3.459 2.824 3.670
```

***

(3)
The following is a calculated powder X-ray diffraction pattern of CaCo2O4. It was derived from a cell relaxed with GGA+U, using a wavelength of 1.5418 Å.

Largest 10 diffraction maxima, low angle first, 2θ = 5–70°:
2θ (°)  d (Å)  I (rel.)
16.06  5.520  100
32.44  2.760  25
35.16  2.552  11
36.45  2.465  35
37.68  2.387  16
42.32  2.136  65
45.54  1.992  14
53.39  1.716  27
57.91  1.592  23
64.77  1.439  25

Crystal structure
```
14
Lattice="2.879 1.662 5.520 -2.879 1.662 5.520 0.000 -3.324 5.520" Properties=species:S:1:pos:R:3 pbc="T T T"
Ca 0.000 0.000 0.000
Ca 0.000 0.000 5.730
Co 0.000 -1.632 8.519
Co -1.413 0.816 8.519
Co 0.000 0.000 13.893
Co 1.413 0.816 8.519
O 0.000 -1.675 4.004
O -1.450 0.837 4.004
O -1.414 -0.816 7.456
O 0.000 0.000 2.106
O 0.000 0.000 9.482
O 1.450 0.837 4.004
O 1.414 -0.816 7.456
O 0.000 1.632 7.456
```

***

(4)
The following is a calculated powder X-ray diffraction pattern of Ca2Co2O5. It was derived from a cell relaxed with GGA+U, using a wavelength of 1.5418 Å.

Largest 10 diffraction maxima, low angle first, 2θ = 5–70°:
2θ (°)  d (Å)  I (rel.)
11.88  7.452  11
23.13  3.845  17
32.16  2.783  36
33.49  2.676  100
33.72  2.658  42
43.37  2.086  14
47.28  1.922  39
48.90  1.863  25
58.19  1.585  18
60.16  1.538  19

Crystal structure
```
18
Lattice="-7.452 2.783 2.658 7.452 -2.783 2.658 7.452 2.783 -2.658" Properties=species:S:1:pos:R:3 pbc="T T T"
Ca 1.604 0.125 0.000
Ca 5.847 0.125 0.000
Ca 1.604 2.658 2.658
Ca 5.847 2.658 2.658
Co 3.726 -0.346 2.466
Co 0.000 2.783 0.046
Co 0.000 0.000 2.705
Co 3.726 3.130 -0.192
O 7.661 1.408 -1.295
O 7.243 -1.375 1.364
O 11.178 0.643 0.528
O 2.096 2.422 0.153
O 5.355 2.422 0.153
O -0.209 1.375 1.364
O 7.661 1.375 1.364
O 2.096 0.361 2.811
O 5.355 0.361 2.811
O -3.726 2.140 3.186
```

***

(5)
The following is a calculated powder X-ray diffraction pattern of CaCoO2. It was derived from a cell relaxed with GGA+U, using a wavelength of 1.5418 Å.

Largest 10 diffraction maxima, low angle first, 2θ = 5–70°:
2θ (°)  d (Å)  I (rel.)
12.01  7.372  21
33.83  2.650  42
34.09  2.630  20
34.36  2.610  20
39.26  2.295  100
39.95  2.257  45
56.20  1.637  15
57.08  1.614  28
57.27  1.609  14
57.43  1.604  26

Crystal structure
```
16
Lattice="7.831 0.000 0.000 0.000 3.273 0.000 -2.686 0.000 7.418" Properties=species:S:1:pos:R:3 pbc="T T T"
Ca 0.042 0.000 1.381
Ca 0.068 1.642 4.261
Ca 5.077 0.006 3.157
Ca 5.103 1.637 6.038
Co -0.031 0.013 7.014
Co 2.585 1.642 2.302
Co 2.560 0.006 5.116
Co 5.175 1.650 0.404
O -1.312 0.002 5.172
O 1.450 1.635 0.468
O 1.440 0.008 3.250
O 1.339 1.584 6.126
O 3.805 3.221 1.293
O 3.705 1.645 4.168
O 3.695 3.272 6.951
O 6.457 1.638 2.247
```

***

(6)
The following is a calculated powder X-ray diffraction pattern of Ca2Co2O5. It was derived from a cell relaxed with GGA+U, using a wavelength of 1.5418 Å.

Largest 10 diffraction maxima, low angle first, 2θ = 5–70°:
2θ (°)  d (Å)  I (rel.)
23.80  3.739  22
33.09  2.707  29
34.02  2.635  100
34.71  2.585  34
39.35  2.290  12
48.71  1.869  32
49.03  1.858  25
59.71  1.549  12
61.46  1.509  12
61.77  1.502  22

Crystal structure
```
18
Lattice="5.414 0.000 0.000 0.000 10.339 0.000 0.000 0.000 3.716" Properties=species:S:1:pos:R:3 pbc="T T T"
Ca 1.028 1.354 0.000
Ca 1.678 6.523 0.000
Ca 3.735 3.816 0.000
Ca 4.385 8.985 0.000
Co 1.204 3.898 1.858
Co 1.503 9.067 1.858
Co 3.911 1.271 1.858
Co 4.210 6.441 1.858
O 0.000 0.000 1.858
O 0.394 7.381 1.858
O 1.110 4.139 0.000
O 1.597 9.308 0.000
O 2.312 2.211 1.858
O 2.707 5.169 1.858
O 3.101 8.127 1.858
O 3.817 1.030 0.000
O 4.303 6.200 0.000
O 5.019 2.958 1.858
```

***

(7)
The following is a calculated powder X-ray diffraction pattern of Ca2Co2O5. It was derived from a cell relaxed with GGA+U, using a wavelength of 1.5418 Å.

Largest 10 diffraction maxima, low angle first, 2θ = 5–70°:
2θ (°)  d (Å)  I (rel.)
22.60  3.934  29
24.10  3.693  19
32.87  2.725  97
33.68  2.661  100
34.13  2.627  42
34.55  2.596  37
46.15  1.967  17
49.35  1.847  60
59.78  1.547  18
60.84  1.522  18

Crystal structure
```
18
Lattice="5.258 0.000 0.000 0.000 5.192 0.000 -0.266 0.000 7.867" Properties=species:S:1:pos:R:3 pbc="T T T"
Ca 1.187 0.000 1.659
Ca 1.157 5.019 5.533
Ca 3.835 2.423 2.334
Ca 3.804 2.596 6.208
Co 1.046 2.714 7.744
Co 1.172 2.421 4.158
Co 3.819 5.017 3.709
Co 3.946 0.118 0.123
O -0.109 4.289 7.417
O 0.145 0.991 3.519
O 1.087 2.102 6.017
O 2.182 3.890 3.608
O 2.517 1.512 0.630
O 2.475 4.108 7.237
O 2.810 1.294 4.259
O 3.905 4.698 1.850
O 4.847 3.588 4.348
O 5.100 1.693 0.450
```

***

(8)
The following is a calculated powder X-ray diffraction pattern of CaCoO2. It was derived from a cell relaxed with GGA+U, using a wavelength of 1.5418 Å.

Largest 10 diffraction maxima, low angle first, 2θ = 5–70°:
2θ (°)  d (Å)  I (rel.)
33.08  2.708  23
33.18  2.700  20
33.44  2.680  30
36.24  2.479  100
40.89  2.207  41
41.11  2.196  45
53.57  1.711  16
57.06  1.614  17
58.25  1.584  23
61.15  1.515  16

Crystal structure
```
16
Lattice="5.532 0.000 0.000 0.000 3.228 0.000 0.000 0.000 10.833" Properties=species:S:1:pos:R:3 pbc="T T T"
Ca 0.628 0.807 1.500
Ca 2.137 2.421 6.916
Ca 3.394 0.807 3.917
Ca 4.903 2.421 9.333
Co 0.591 2.421 4.201
Co 2.175 0.807 9.617
Co 3.357 2.421 1.216
Co 4.941 0.807 6.632
O 0.725 0.807 8.158
O 1.284 0.807 5.296
O 1.481 2.421 10.713
O 2.040 2.421 2.742
O 3.491 0.807 8.092
O 4.050 0.807 0.120
O 4.247 2.421 5.537
O 4.806 2.421 2.675
```

***

(9)
The following is a calculated powder X-ray diffraction pattern of Ca3Co2O6. It was derived from a cell relaxed with GGA+U, using a wavelength of 1.5418 Å.

Largest 10 diffraction maxima, low angle first, 2θ = 5–70°:
2θ (°)  d (Å)  I (rel.)
15.45  5.734  57
23.22  3.831  34
26.16  3.406  66
29.09  3.069  34
29.50  3.028  31
32.85  2.726  100
33.15  2.702  25
33.56  2.670  23
34.36  2.610  84
44.55  2.034  28

Crystal structure
```
11
Lattice="3.571 0.000 0.000 -1.699 6.141 0.000 -0.348 -2.876 7.507" Properties=species:S:1:pos:R:3 pbc="T T T"
Ca 0.000 0.000 0.000
Ca -0.290 1.963 4.854
Ca 2.011 -1.270 3.545
Co 0.998 -0.363 6.235
Co 1.476 1.830 1.894
O 0.185 -0.231 4.490
O 0.560 2.323 0.461
O 1.541 -2.130 6.036
O 1.865 0.081 1.657
O 1.531 1.384 6.265
O 1.606 2.864 3.351
```